GaHSe: computed XRD peak list (a wavelength of 1.5418 Å), based on the PBE geometry in Alexandria.
No peak broadening, texture or thermal motion is included.

Most intense lines, 5° ≤ 2θ ≤ 70°, low angle first:
| 2theta | Rel. int. |
| --- | --- |
| 15.90 | 100 |
| 27.16 | 34 |
| 31.63 | 79 |
| 42.55 | 55 |
| 48.00 | 28 |
| 50.88 | 29 |

Atomic structure:
a b c (Å): 3.7909 3.7909 5.5734
angles (deg): 90.00 90.00 120.00
Fractional positions:
1 Ga 0.0000 0.0000 0.0000
2 H 0.0000 0.0000 0.2788
3 Se 0.3333 0.6667 0.7930


Y2HoIn3: computed XRD peak list (a wavelength of 1.5418 Å), based on the PBE geometry in Alexandria.
No peak broadening, texture or thermal motion is included.

Most intense lines, 5° ≤ 2θ ≤ 70°, low angle first:
| 2theta | Rel. int. |
| --- | --- |
| 33.66 | 100 |
| 33.89 | 49 |
| 47.99 | 9 |
| 48.68 | 17 |
| 60.04 | 18 |
| 60.49 | 36 |

Atomic structure:
a b c (Å): 3.7408 3.7408 11.3749
angles (deg): 90.00 90.00 90.00
Fractional positions:
1 Y 0.0000 0.0000 0.1676
2 Y 0.0000 0.0000 0.8324
3 Ho 0.0000 0.0000 0.5000
4 In 0.5000 0.5000 0.0000
5 In 0.5000 0.5000 0.3351
6 In 0.5000 0.5000 0.6649


Y3URu4: computed XRD peak list (a wavelength of 1.5418 Å), based on the PBE geometry in Alexandria.
No peak broadening, texture or thermal motion is included.

Most intense lines, 5° ≤ 2θ ≤ 70°, low angle first:
| 2theta | Rel. int. |
| --- | --- |
| 12.91 | 14 |
| 37.29 | 100 |
| 37.50 | 51 |
| 54.08 | 17 |
| 67.09 | 12 |
| 67.53 | 34 |

Atomic structure:
a b c (Å): 14.5242 4.7961 4.7961
angles (deg): 90.00 109.20 90.00
Fractional positions:
1 Y 0.0000 0.0000 0.0000
2 Y 0.2488 0.0000 0.2487
3 Y 0.2512 0.5000 0.7513
4 Y 0.5000 0.5000 0.0000
5 Y 0.7488 0.5000 0.2487
6 Y 0.7512 0.0000 0.7513
7 U 0.0000 0.5000 0.5000
8 U 0.5000 0.0000 0.5000
9 Ru 0.1141 0.0000 0.6139
10 Ru 0.1141 0.5000 0.1152
11 Ru 0.3859 0.0000 0.8848
12 Ru 0.3859 0.5000 0.3861
13 Ru 0.6141 0.0000 0.1152
14 Ru 0.6141 0.5000 0.6139
15 Ru 0.8859 0.0000 0.3861
16 Ru 0.8859 0.5000 0.8848


Th2H2Pb: computed XRD peak list (a wavelength of 1.5418 Å), based on the PBE geometry in Alexandria.
No peak broadening, texture or thermal motion is included.

Most intense lines, 5° ≤ 2θ ≤ 70°, low angle first:
| 2theta | Rel. int. |
| --- | --- |
| 29.81 | 34 |
| 30.00 | 100 |
| 30.28 | 69 |
| 31.35 | 64 |
| 32.07 | 61 |
| 36.76 | 60 |

Atomic structure:
a b c (Å): 6.1837 6.1837 6.6474
angles (deg): 103.83 103.83 117.38
Fractional positions:
1 Th 0.0728 0.9272 0.7500
2 Th 0.2926 0.7074 0.2500
3 Th 0.7074 0.2926 0.7500
4 Th 0.9272 0.0728 0.2500
5 H 0.0162 0.2443 0.9826
6 H 0.2443 0.0162 0.4826
7 H 0.7557 0.9838 0.5174
8 H 0.9838 0.7557 0.0174
9 Pb 0.3863 0.6137 0.7500
10 Pb 0.6137 0.3863 0.2500


> What is the formula in the third record?

Y3URu4


> Which formula does entry 3 have?

Y3URu4